This entry pairs a crystal structure of Sm3CoCu2 with its computed X-ray diffraction stick pattern. Radiation: Cu Kα X-rays. Structure: a PBE-relaxed structure.

Atomic structure:
a = 11.487 Å, b = 4.071 Å, c = 11.646 Å
α = 90.00°, β = 90.00°, γ = 90.00°
Sites, in units of the cell vectors:
Sm (0.048, 0.250, 0.124)
Sm (0.120, 0.750, 0.550)
Sm (0.228, 0.250, 0.792)
Sm (0.272, 0.750, 0.292)
Sm (0.380, 0.250, 0.050)
Sm (0.452, 0.750, 0.624)
Sm (0.548, 0.250, 0.376)
Sm (0.620, 0.750, 0.950)
Sm (0.728, 0.250, 0.708)
Sm (0.772, 0.750, 0.208)
Sm (0.880, 0.250, 0.450)
Sm (0.952, 0.750, 0.876)
Co (0.119, 0.250, 0.364)
Co (0.381, 0.750, 0.864)
Co (0.619, 0.250, 0.136)
Co (0.881, 0.750, 0.636)
Cu (0.014, 0.750, 0.311)
Cu (0.198, 0.750, 0.989)
Cu (0.302, 0.250, 0.489)
Cu (0.486, 0.250, 0.811)
Cu (0.514, 0.750, 0.189)
Cu (0.698, 0.750, 0.511)
Cu (0.802, 0.250, 0.011)
Cu (0.986, 0.250, 0.689)

Top 6 peaks for 2θ from 10° to 90°, in order of rising 2θ:
2θ 27.9, I = 86; 2θ 31.0, I = 49; 2θ 31.9, I = 100; 2θ 35.7, I = 56; 2θ 39.2, I = 38; 2θ 44.5, I = 49

---

This entry pairs a crystal structure of Pu8Mn5Cu with its computed X-ray diffraction stick pattern. Radiation: Cu Kα X-rays. Structure: a PBE-relaxed structure.

Atomic structure:
a = 7.176 Å, b = 7.176 Å, c = 7.176 Å
α = 109.24°, β = 109.24°, γ = 109.93°
Sites, in units of the cell vectors:
Pu (0.118, 0.359, 0.095)
Pu (0.121, 0.370, 0.606)
Pu (0.263, 0.023, 0.905)
Pu (0.485, 0.879, 0.249)
Pu (0.630, 0.236, 0.751)
Pu (0.641, 0.737, 0.760)
Pu (0.764, 0.515, 0.394)
Pu (0.977, 0.882, 0.240)
Mn (0.019, 0.627, 0.886)
Mn (0.373, 0.259, 0.392)
Mn (0.500, 0.500, 0.000)
Mn (0.741, 0.133, 0.114)
Mn (0.867, 0.981, 0.608)
Cu (0.250, 0.750, 0.500)

Top 6 peaks for 2θ from 10° to 90°, in order of rising 2θ:
2θ 26.3, I = 50; 2θ 34.1, I = 100; 2θ 34.4, I = 53; 2θ 40.7, I = 87; 2θ 40.9, I = 29; 2θ 54.2, I = 28